# 1
Structure and calculated X-ray diffraction stick pattern of Sc2GaPd (DFT lattice parameters and positions (PBE); λ = 1.5418 Å (Cu Kα)).
Peak positions follow from Bragg's law for the DFT cell and can differ from measured ones.

```
data_Sc2GaPd
_cell_length_a 3.3529
_cell_length_b 3.3529
_cell_length_c 6.5933
_cell_angle_alpha 90.00
_cell_angle_beta 90.00
_cell_angle_gamma 90.00
_space_group_name_H-M_alt 'P 4/m m m'
_space_group_IT_number 123
_space_group_name_Hall '-P 4 2'
loop_
_atom_site_label
_atom_site_fract_x
_atom_site_fract_y
_atom_site_fract_z
Sc1 0.0000 0.0000 0.2448
Ga1 0.5000 0.5000 0.5000
Pd1 0.5000 0.5000 0.0000
```

Main lines, sorted by position (10 to 90 degrees two-theta):
2θ 13.4, rel. 7; 2θ 26.6, rel. 15; 2θ 27.0, rel. 7; 2θ 38.0, rel. 51; 2θ 38.3, rel. 100; 2θ 47.2, rel. 7; 2θ 54.8, rel. 17; 2θ 55.8, rel. 8; 2θ 68.8, rel. 33; 2θ 69.4, rel. 16; 2θ 81.1, rel. 5; 2θ 82.0, rel. 10

---

# 2
Structure and calculated X-ray diffraction stick pattern of K2LiZnCl6 (DFT lattice parameters and positions (PBE); λ = 1.5418 Å (Cu Kα)).
Peak positions follow from Bragg's law for the DFT cell and can differ from measured ones.

```
data_K2LiZnCl6
_cell_length_a 6.9554
_cell_length_b 6.9554
_cell_length_c 9.8401
_cell_angle_alpha 90.00
_cell_angle_beta 90.00
_cell_angle_gamma 90.00
_space_group_name_H-M_alt 'I 4/m'
_space_group_IT_number 87
_space_group_name_Hall '-I 4'
loop_
_atom_site_label
_atom_site_fract_x
_atom_site_fract_y
_atom_site_fract_z
K1 0.0000 0.5000 0.2500
Li1 0.0000 0.0000 0.0000
Zn1 0.0000 0.0000 0.5000
Cl1 0.0000 0.0000 0.2525
Cl2 0.2447 0.7496 0.5000
```

Main lines, sorted by position (10 to 90 degrees two-theta):
2θ 15.6, rel. 39; 2θ 18.0, rel. 21; 2θ 25.6, rel. 28; 2θ 30.1, rel. 21; 2θ 31.5, rel. 73; 2θ 36.5, rel. 100; 2θ 41.0, rel. 9; 2θ 45.2, rel. 12; 2θ 52.6, rel. 62; 2θ 62.6, rel. 22; 2θ 65.8, rel. 20; 2θ 89.0, rel. 26

---

# 3
Structure and calculated X-ray diffraction stick pattern of Mg4U3 (DFT lattice parameters and positions (PBE); λ = 1.5418 Å (Cu Kα)).
Peak positions follow from Bragg's law for the DFT cell and can differ from measured ones.

```
data_Mg4U3
_cell_length_a 8.5955
_cell_length_b 5.0467
_cell_length_c 8.6057
_cell_angle_alpha 90.00
_cell_angle_beta 118.63
_cell_angle_gamma 90.00
_space_group_name_H-M_alt 'P 1 21/m 1'
_space_group_IT_number 11
loop_
_space_group_symop_operation_xyz
'x,y,z'
'-x,-y,-z'
'-x,y+1/2,-z'
'x,-y+1/2,z'
loop_
_atom_site_label
_atom_site_fract_x
_atom_site_fract_y
_atom_site_fract_z
Mg1 0.0095 0.2500 0.0935
Mg2 0.1306 0.7500 0.6440
Mg3 0.1896 0.2500 0.8652
Mg4 0.4228 0.7500 0.0564
U1 0.2517 0.7500 0.3613
U2 0.2866 0.2500 0.5013
U3 0.4694 0.2500 0.3499
```

Main lines, sorted by position (10 to 90 degrees two-theta):
2θ 11.7, rel. 100; 2θ 12.0, rel. 45; 2θ 20.7, rel. 9; 2θ 30.0, rel. 10; 2θ 31.2, rel. 8; 2θ 35.6, rel. 18; 2θ 36.0, rel. 29; 2θ 36.4, rel. 12; 2θ 36.7, rel. 16; 2θ 37.6, rel. 19; 2θ 40.7, rel. 10; 2θ 46.8, rel. 6

---

# 4
Structure and calculated X-ray diffraction stick pattern of Y3Sn3Ir2Pd (DFT lattice parameters and positions (PBE); λ = 1.5418 Å (Cu Kα)).
Peak positions follow from Bragg's law for the DFT cell and can differ from measured ones.

```
data_Y3Sn3Ir2Pd
_cell_length_a 7.6108
_cell_length_b 7.6108
_cell_length_c 3.8541
_cell_angle_alpha 90.00
_cell_angle_beta 90.00
_cell_angle_gamma 120.00
_space_group_name_H-M_alt 'P -6 2 m'
_space_group_IT_number 189
_space_group_name_Hall 'P -6 -2'
loop_
_atom_site_label
_atom_site_fract_x
_atom_site_fract_y
_atom_site_fract_z
Y1 0.0000 0.5931 0.0000
Sn1 0.0000 0.2659 0.5000
Ir1 0.3333 0.6667 0.5000
Pd1 0.0000 0.0000 0.0000
```

Main lines, sorted by position (10 to 90 degrees two-theta):
2θ 23.1, rel. 19; 2θ 23.4, rel. 26; 2θ 33.1, rel. 98; 2θ 35.9, rel. 100; 2θ 36.1, rel. 45; 2θ 41.1, rel. 67; 2θ 43.2, rel. 52; 2θ 47.2, rel. 29; 2θ 47.6, rel. 16; 2θ 60.8, rel. 20; 2θ 64.3, rel. 36; 2θ 66.4, rel. 41